Theoretical PXRD pattern
Compound: SbS2N
Radiation: Cu Kα (weighted mean of Kα1 and Kα2)
Structure: a GGA-PBE-relaxed structure

Structure:
a = 5.873 Å, b = 7.614 Å, c = 9.855 Å
α = 82.87°, β = 80.42°, γ = 68.58°
Space group P-1 (No. 2)
One atom of each set of equivalent atoms:
Sb 0.087 0.165 0.105
Sb 0.373 0.703 0.618
S 0.042 0.327 0.312
S 0.120 0.106 0.635
S 0.354 0.731 0.885
S 0.391 0.738 0.243
N 0.106 0.892 0.239
N 0.417 0.609 0.376

Peak list (12 most intense, 5 to 70 degrees two-theta, sorted by position)
h k l	d_spacing	intensity
0 1 -1	5.534	1000
1 1 0	5.295	731
1 0 1	5.031	552
1 1 2	3.946	392
0 2 0	3.535	565
1 0 -2	3.401	216
0 1 3	3.021	560
2 1 0	2.894	465
1 3 0	2.509	344
2 -1 0	2.277	279
0 3 -1	2.255	255
3 2 0	1.905	256

Theoretical PXRD pattern
Compound: SbS4N3
Radiation: Cu Kα (weighted mean of Kα1 and Kα2)
Structure: a GGA-PBE-relaxed structure

Structure:
a = 5.630 Å, b = 6.339 Å, c = 6.694 Å
α = 111.74°, β = 91.39°, γ = 108.04°
Space group P1 (No. 1)
One atom of each set of equivalent atoms:
Sb 0.000 0.000 0.000
S 0.019 0.137 0.409
S 0.081 0.707 0.412
S 0.626 0.189 0.037
S 0.650 0.426 0.893
N 0.182 0.012 0.499
N 0.282 0.602 0.421
N 0.879 0.669 0.021

Peak list (12 most intense, 5 to 70 degrees two-theta, sorted by position)
h k l	d_spacing	intensity
0 0 1	6.141	602
0 1 0	5.531	465
1 0 0	5.286	1000
1 -1 0	4.714	358
1 0 -1	4.360	524
1 -1 1	4.160	289
1 1 0	3.298	608
0 0 2	3.070	501
0 2 -1	3.009	249
2 -1 0	2.786	233
2 0 0	2.643	219
2 -1 1	2.570	248

Theoretical PXRD pattern
Compound: SbS2N
Radiation: Cu Kα (weighted mean of Kα1 and Kα2)
Structure: a GGA-PBE-relaxed structure

Structure:
a = 6.122 Å, b = 7.324 Å, c = 10.502 Å
α = 81.51°, β = 76.74°, γ = 74.41°
Space group P-1 (No. 2)
One atom of each set of equivalent atoms:
Sb 0.072 0.165 0.099
Sb 0.334 0.822 0.628
S 0.029 0.282 0.314
S 0.116 0.161 0.669
S 0.351 0.763 0.868
S 0.377 0.769 0.203
N 0.087 0.876 0.196
N 0.430 0.670 0.330

Peak list (12 most intense, 5 to 70 degrees two-theta, sorted by position)
h k l	d_spacing	intensity
0 1 0	7.024	914
0 1 1	6.047	323
1 0 1	5.533	1000
1 1 0	5.112	526
1 1 2	4.148	748
1 -1 1	3.844	406
0 2 0	3.512	619
1 1 -2	3.235	295
2 1 0	2.936	456
0 2 3	2.560	379
0 0 4	2.545	445
2 -1 0	2.468	456

Theoretical PXRD pattern
Compound: SbS4N3
Radiation: Cu Kα (weighted mean of Kα1 and Kα2)
Structure: a GGA-PBE-relaxed structure

Structure:
a = 5.605 Å, b = 6.321 Å, c = 6.898 Å
α = 115.24°, β = 94.92°, γ = 101.09°
Space group P1 (No. 1)
One atom of each set of equivalent atoms:
Sb 0.000 0.000 0.000
S 0.027 0.167 0.411
S 0.087 0.728 0.412
S 0.639 0.224 0.027
S 0.659 0.451 0.886
N 0.187 0.031 0.501
N 0.283 0.607 0.436
N 0.880 0.684 0.022

Peak list (12 most intense, 5 to 70 degrees two-theta, sorted by position)
h k l	d_spacing	intensity
0 0 1	6.127	577
0 1 0	5.533	584
1 0 0	5.401	893
1 0 -1	4.487	1000
1 -1 1	4.039	302
1 1 0	3.450	457
0 1 -2	3.412	349
0 2 -1	3.101	254
0 0 2	3.064	512
2 -1 0	2.714	218
1 2 -1	2.493	205
1 0 -3	2.042	198

Theoretical PXRD pattern
Compound: Sm4S3N2
Radiation: Cu Kα (weighted mean of Kα1 and Kα2)
Structure: a GGA-PBE-relaxed structure

Structure:
a = 13.288 Å, b = 3.937 Å, c = 10.164 Å
α = 90.00°, β = 128.71°, γ = 90.00°
Space group C2/m (No. 12)
One atom of each set of equivalent atoms:
Sm 0.063 0.000 0.356
Sm 0.243 0.500 0.852
S 0.000 0.500 0.500
S 0.170 0.500 0.282
N 0.146 0.000 0.861

Peak list (12 most intense, 5 to 70 degrees two-theta, sorted by position)
h k l	d_spacing	intensity
2 0 -1	6.640	188
1 1 0	3.681	177
2 0 1	3.460	459
2 0 -3	3.351	296
4 0 -1	3.103	165
1 1 1	3.087	359
3 1 -2	2.880	1000
1 1 -3	2.416	261
6 0 -4	2.112	171
5 1 -1	2.055	279
0 2 0	1.969	178
5 1 -5	1.784	133

Theoretical PXRD pattern
Compound: Sm3S3N
Radiation: Cu Kα (weighted mean of Kα1 and Kα2)
Structure: a GGA-PBE-relaxed structure

Structure:
a = 12.204 Å, b = 3.952 Å, c = 13.104 Å
α = 90.00°, β = 90.00°, γ = 90.00°
Space group Pnma (No. 62)
One atom of each set of equivalent atoms:
Sm 0.046 0.250 0.145
Sm 0.072 0.250 0.631
Sm 0.215 0.250 0.863
S 0.090 0.250 0.396
S 0.135 0.750 0.992
S 0.225 0.750 0.694
N 0.039 0.250 0.798

Peak list (12 most intense, 5 to 70 degrees two-theta, sorted by position)
h k l	d_spacing	intensity
3 0 2	3.456	1000
2 1 0	3.317	607
0 0 4	3.276	741
1 1 2	3.261	733
1 1 3	2.850	330
3 1 1	2.770	343
3 1 2	2.602	474
2 1 4	2.331	656
0 2 0	1.977	504
3 0 6	1.924	285
3 2 2	1.715	285
0 2 4	1.692	245

Theoretical PXRD pattern
Compound: Sr7SN6
Radiation: Cu Kα (weighted mean of Kα1 and Kα2)
Structure: a GGA-PBE-relaxed structure

Structure:
a = 11.898 Å, b = 6.800 Å, c = 13.433 Å
α = 90.00°, β = 90.00°, γ = 90.00°
Space group Pbcn (No. 60)
One atom of each set of equivalent atoms:
Sr 0.000 0.046 0.250
Sr 0.038 0.239 0.514
Sr 0.213 0.367 0.138
Sr 0.215 0.354 0.880
S 0.000 0.446 0.750
N 0.042 0.416 0.342
N 0.101 0.309 0.708
N 0.164 0.074 0.005

Peak list (12 most intense, 5 to 70 degrees two-theta, sorted by position)
h k l	d_spacing	intensity
3 1 0	3.426	117
1 2 1	3.174	443
0 2 2	3.034	188
4 0 0	2.974	267
2 0 4	2.924	1000
2 2 2	2.703	325
4 1 1	2.671	437
1 2 3	2.640	281
3 2 1	2.535	132
3 2 3	2.237	175
5 1 4	1.868	156
6 1 3	1.752	169

Theoretical PXRD pattern
Compound: TaS2N
Radiation: Cu Kα (weighted mean of Kα1 and Kα2)
Structure: a GGA-PBE-relaxed structure

Structure:
a = 3.3544 Å, b = 3.3544 Å, c = 17.4753 Å
α = 90.00°, β = 90.00°, γ = 120.00°
Space group P6_3mc (No. 186)
One atom of each set of equivalent atoms:
Ta 0.0000 0.0000 0.0000
S 0.3333 0.6667 0.0901
S 0.3333 0.6667 0.9106
N 0.3333 0.6667 0.7494

Peak list (12 most intense, 5 to 70 degrees two-theta, sorted by position)
h k l	d_spacing	intensity
0 0 2	8.738	1000
0 0 4	4.369	125
1 0 0	2.906	136
1 0 2	2.757	313
1 0 4	2.419	277
1 0 6	2.057	216
0 0 10	1.746	112
1 1 0	1.677	77
1 1 2	1.647	88
1 1 4	1.566	45
1 0 10	1.497	43
2 0 4	1.378	48

Theoretical PXRD pattern
Compound: TaSN
Radiation: Cu Kα (weighted mean of Kα1 and Kα2)
Structure: a GGA-PBE-relaxed structure

Structure:
a = 3.574 Å, b = 3.574 Å, c = 6.104 Å
α = 90.00°, β = 90.00°, γ = 90.00°
Space group P4/nmm (No. 129, origin choice 2)
One atom of each set of equivalent atoms:
Ta 0.250 0.250 0.185
S 0.250 0.250 0.617
N 0.250 0.750 0.000

Peak list (12 most intense, 5 to 70 degrees two-theta, sorted by position)
h k l	d_spacing	intensity
0 0 1	6.104	224
1 0 1	3.084	1000
0 0 2	3.052	134
1 1 0	2.527	577
1 0 2	2.321	609
1 1 2	1.947	238
2 0 0	1.787	258
1 1 3	1.585	185
2 1 1	1.546	275
2 0 2	1.542	78
2 1 2	1.416	252
1 0 4	1.403	142

Theoretical PXRD pattern
Compound: TaSN
Radiation: Cu Kα (weighted mean of Kα1 and Kα2)
Structure: a GGA-PBE-relaxed structure

Structure:
a = 5.409 Å, b = 5.618 Å, c = 5.492 Å
α = 90.00°, β = 98.61°, γ = 90.00°
Space group P2_1/c (No. 14)
One atom of each set of equivalent atoms:
Ta 0.151 0.020 0.278
S 0.402 0.121 0.701
N 0.057 0.737 0.504

Peak list (12 most intense, 5 to 70 degrees two-theta, sorted by position)
h k l	d_spacing	intensity
1 0 0	5.348	767
1 1 -1	3.329	860
1 1 1	3.003	930
0 2 0	2.809	521
0 0 2	2.715	600
1 2 0	2.487	218
2 1 -1	2.326	1000
2 1 1	2.103	560
0 2 2	1.952	439
1 2 -2	1.901	307
1 3 1	1.657	242
2 1 -3	1.552	222

Theoretical PXRD pattern
Compound: TaS2N
Radiation: Cu Kα (weighted mean of Kα1 and Kα2)
Structure: a GGA-PBE-relaxed structure

Structure:
a = 3.3511 Å, b = 3.3511 Å, c = 17.6402 Å
α = 90.00°, β = 90.00°, γ = 120.00°
Space group P6_3mc (No. 186)
One atom of each set of equivalent atoms:
Ta 0.3333 0.6667 0.0000
S 0.0000 0.0000 0.0884
S 0.0000 0.0000 0.4116
N 0.3333 0.6667 0.7500

Peak list (12 most intense, 5 to 70 degrees two-theta, sorted by position)
h k l	d_spacing	intensity
0 0 2	8.820	1000
0 0 4	4.410	127
1 0 1	2.864	276
1 0 3	2.602	213
1 0 4	2.424	133
1 0 5	2.241	140
1 0 6	2.065	96
1 0 7	1.903	86
1 1 0	1.676	75
1 1 2	1.646	86
1 0 9	1.624	52
1 1 4	1.566	45